1.
Calculated powder diffractogram of ThV3O9 for Cu Kα (λ = 1.5418 Å), from a GGA+U-relaxed structure.
No peak broadening, texture or thermal motion is included.

Crystal structure
```
26
Lattice="4.5379 -6.0726 0.0000 4.5379 6.0726 0.0000 0.0000 0.0000 7.7202" Properties=species:S:1:pos:R:3 pbc="T T T"
Th 1.0305 0.0000 0.0000
Th 8.0452 0.0000 3.8601
V 2.3156 0.0000 3.8601
V 4.2579 2.2582 7.5049
V 4.8179 2.2582 4.0754
V 4.2579 -2.2582 0.2153
V 4.8179 -2.2582 3.6448
V 6.7601 0.0000 0.0000
O 1.2764 0.1652 5.2491
O 1.2764 -0.1652 2.4711
O 4.4375 3.9425 0.0003
O 2.7600 1.4813 0.2571
O 4.6382 3.9425 3.8598
O 3.3555 1.3485 3.4180
O 4.5379 1.9185 5.7902
O 2.7600 -1.4813 7.4631
O 3.3555 -1.3485 4.3022
O 5.7202 1.3485 0.4421
O 6.3158 1.4813 3.6030
O 4.5379 -1.9185 1.9301
O 5.7202 -1.3485 7.2781
O 4.4375 -3.9425 7.7199
O 6.3158 -1.4813 4.1172
O 4.6382 -3.9425 3.8604
O 7.7993 0.1652 6.3313
O 7.7993 -0.1652 1.3890
```

Main lines, most intense first (15° ≤ 2θ ≤ 90°):
| 2θ/deg | d (Å) | intensity |
| --- | --- | --- |
| 23.04 | 3.860 | 100 |
| 27.11 | 3.289 | 88 |
| 24.07 | 3.697 | 81 |
| 32.63 | 2.744 | 46 |
| 16.75 | 5.293 | 40 |
| 33.56 | 2.670 | 36 |
| 22.73 | 3.912 | 35 |
| 43.07 | 2.100 | 34 |
| 49.55 | 1.839 | 31 |
| 37.50 | 2.399 | 27 |

=====

2.
Calculated powder diffractogram of ThV2O6 for Cu Kα (λ = 1.5418 Å), from a GGA+U-relaxed structure.
No peak broadening, texture or thermal motion is included.

Crystal structure
```
18
Lattice="4.8133 0.0000 0.0000 0.0000 4.8133 0.0000 0.0000 0.0000 9.7137" Properties=species:S:1:pos:R:3 pbc="T T T"
Th 0.0000 0.0000 0.0000
Th 2.4066 2.4066 4.8568
V 0.0000 0.0000 3.2848
V 0.0000 0.0000 6.4288
V 2.4066 2.4066 1.5720
V 2.4066 2.4066 8.1417
O 0.8387 0.8387 4.8568
O 1.0849 1.0849 1.7902
O 1.0849 1.0849 7.9235
O 1.3217 3.4915 3.0666
O 1.3217 3.4915 6.6470
O 1.5679 3.2454 0.0000
O 3.2454 1.5679 0.0000
O 3.4915 1.3217 3.0666
O 3.4915 1.3217 6.6470
O 3.7284 3.7284 1.7902
O 3.7284 3.7284 7.9235
O 3.9745 3.9745 4.8568
```

Main lines, most intense first (15° ≤ 2θ ≤ 90°):
| 2θ/deg | d (Å) | intensity |
| --- | --- | --- |
| 26.18 | 3.403 | 100 |
| 33.35 | 2.687 | 85 |
| 20.59 | 4.313 | 75 |
| 50.94 | 1.793 | 66 |
| 32.11 | 2.787 | 36 |
| 43.04 | 2.102 | 30 |
| 18.27 | 4.857 | 27 |
| 41.90 | 2.156 | 22 |
| 37.37 | 2.407 | 21 |
| 64.86 | 1.438 | 19 |